(1)
Computed PXRD pattern
Compound: Cd2SnBi
Radiation: Cu Kα X-rays
Structure: a PBE-relaxed structure
Intensities are scaled so that the largest is 100.

Structure:
```
data_Cd2SnBi
_symmetry_space_group_name_H-M 'P 1 21 1'
_symmetry_Int_Tables_number 4
_symmetry_space_group_name_Hall 'P 2yb'
_cell_length_a 5.071
_cell_length_b 5.846
_cell_length_c 7.443
_cell_angle_alpha 90.00
_cell_angle_beta 90.29
_cell_angle_gamma 90.00
loop_
_atom_site_label
_atom_site_fract_x
_atom_site_fract_y
_atom_site_fract_z
_atom_site_occupancy
Cd1 0.132 0.000 0.484 1
Cd2 0.354 0.498 0.304 1
Sn1 0.143 0.997 0.935 1
Bi1 0.394 0.497 0.772 1
```

Largest 6 diffraction maxima, in order of falling intensity, 5 to 70 degrees two-theta:
d [Å], Rel. int.
2.674, 100.0
2.326, 79.9
2.923, 78.8
2.993, 72.1
2.091, 53.2
1.635, 25.7


(2)
Computed PXRD pattern
Compound: Ti4BiO
Radiation: Cu Kα X-rays
Structure: a PBE-relaxed structure
Intensities are scaled so that the largest is 100.

Structure:
```
data_Ti4BiO
_symmetry_space_group_name_H-M 'C m c 21'
_symmetry_Int_Tables_number 36
_symmetry_space_group_name_Hall 'C 2c -2'
_cell_length_a 4.564
_cell_length_b 14.407
_cell_length_c 5.819
_cell_angle_alpha 90.00
_cell_angle_beta 90.00
_cell_angle_gamma 90.00
loop_
_atom_site_label
_atom_site_fract_x
_atom_site_fract_y
_atom_site_fract_z
_atom_site_occupancy
Ti1 0.000 0.013 0.000 1
Ti2 0.000 0.189 0.436 1
Ti3 0.000 0.212 0.928 1
Ti4 0.000 0.390 0.205 1
Bi1 0.000 0.393 0.701 1
O1 0.000 0.100 0.715 1
```

Largest 6 diffraction maxima, in order of falling intensity, 5 to 70 degrees two-theta:
d [Å], Rel. int.
2.436, 100.0
2.418, 95.2
4.526, 66.8
2.263, 57.6
2.876, 56.6
2.282, 53.1


(3)
Computed PXRD pattern
Compound: CsUCu2Se4
Radiation: Cu Kα X-rays
Structure: a PBE-relaxed structure
Intensities are scaled so that the largest is 100.

Structure:
```
data_CsUCu2Se4
_symmetry_space_group_name_H-M 'C 1 2 1'
_symmetry_Int_Tables_number 5
_symmetry_space_group_name_Hall 'C 2y'
_cell_length_a 11.565
_cell_length_b 8.884
_cell_length_c 6.401
_cell_angle_alpha 90.00
_cell_angle_beta 123.52
_cell_angle_gamma 90.00
loop_
_atom_site_label
_atom_site_fract_x
_atom_site_fract_y
_atom_site_fract_z
_atom_site_occupancy
Cs1 0.000 0.000 0.000 1
U1 0.000 0.500 0.500 1
Cu1 0.129 0.500 0.129 1
Se1 0.168 0.331 0.433 1
Se2 0.168 0.668 0.903 1
```

Largest 6 diffraction maxima, in order of falling intensity, 5 to 70 degrees two-theta:
d [Å], Rel. int.
3.533, 100.0
6.534, 81.5
2.597, 52.7
2.186, 44.0
3.267, 42.5
5.194, 35.9


(4)
Computed PXRD pattern
Compound: Tm12AlNi5
Radiation: Cu Kα X-rays
Structure: a PBE-relaxed structure
Intensities are scaled so that the largest is 100.

Structure:
```
data_Tm12AlNi5
_symmetry_space_group_name_H-M 'I m m m'
_symmetry_Int_Tables_number 71
_symmetry_space_group_name_Hall '-I 2 2'
_cell_length_a 9.181
_cell_length_b 9.329
_cell_length_c 9.734
_cell_angle_alpha 90.00
_cell_angle_beta 90.00
_cell_angle_gamma 90.00
loop_
_atom_site_label
_atom_site_fract_x
_atom_site_fract_y
_atom_site_fract_z
_atom_site_occupancy
Tm1 0.000 0.190 0.221 1
Tm2 0.197 0.500 0.176 1
Tm3 0.211 0.317 0.500 1
Al1 0.000 0.000 0.500 1
Ni1 0.000 0.000 0.000 1
Ni2 0.000 0.359 0.000 1
Ni3 0.000 0.500 0.376 1
```

Largest 6 diffraction maxima, in order of falling intensity, 5 to 70 degrees two-theta:
d [Å], Rel. int.
2.715, 100.0
2.520, 60.2
2.549, 58.2
2.489, 45.6
1.504, 34.4
3.063, 30.5


(5)
Computed PXRD pattern
Compound: CaH4NCl3
Radiation: Cu Kα X-rays
Structure: a PBE-relaxed structure
Intensities are scaled so that the largest is 100.

Structure:
```
data_CaH4NCl3
_symmetry_space_group_name_H-M 'P 1 m 1'
_symmetry_Int_Tables_number 6
_symmetry_space_group_name_Hall 'P -2y'
_cell_length_a 7.365
_cell_length_b 5.495
_cell_length_c 7.527
_cell_angle_alpha 90.00
_cell_angle_beta 90.02
_cell_angle_gamma 90.00
loop_
_atom_site_label
_atom_site_fract_x
_atom_site_fract_y
_atom_site_fract_z
_atom_site_occupancy
Ca1 0.000 0.000 0.000 1
Ca2 0.500 0.000 0.495 1
H1 0.020 0.500 0.663 1
H2 0.046 0.344 0.470 1
H3 0.353 0.500 0.981 1
H4 0.521 0.500 0.831 1
H5 0.547 0.344 0.025 1
H6 0.852 0.500 0.514 1
N1 0.493 0.500 0.966 1
N2 0.992 0.500 0.528 1
Cl1 0.031 0.500 0.987 1
Cl2 0.165 0.000 0.329 1
Cl3 0.307 0.000 0.800 1
Cl4 0.530 0.500 0.508 1
Cl5 0.665 0.000 0.167 1
Cl6 0.806 0.000 0.695 1
```

Largest 6 diffraction maxima, in order of falling intensity, 5 to 70 degrees two-theta:
d [Å], Rel. int.
2.748, 100.0
2.632, 92.8
5.264, 81.4
5.495, 76.2
1.901, 58.7
2.375, 47.7


(6)
Computed PXRD pattern
Compound: AgMoPd6
Radiation: Cu Kα X-rays
Structure: a PBE-relaxed structure
Intensities are scaled so that the largest is 100.

Structure:
```
data_AgMoPd6
_symmetry_space_group_name_H-M 'P 4/m m m'
_symmetry_Int_Tables_number 123
_symmetry_space_group_name_Hall '-P 4 2'
_cell_length_a 3.975
_cell_length_b 3.975
_cell_length_c 7.893
_cell_angle_alpha 90.00
_cell_angle_beta 90.00
_cell_angle_gamma 90.00
loop_
_atom_site_label
_atom_site_fract_x
_atom_site_fract_y
_atom_site_fract_z
_atom_site_occupancy
Ag1 0.000 0.000 0.000 1
Mo1 0.000 0.000 0.500 1
Pd1 0.000 0.500 0.262 1
Pd2 0.500 0.500 0.000 1
Pd3 0.500 0.500 0.500 1
```

Largest 6 diffraction maxima, in order of falling intensity, 5 to 70 degrees two-theta:
d [Å], Rel. int.
2.289, 100.0
1.987, 32.8
1.400, 19.5
1.973, 15.3
1.405, 10.3
1.376, 0.8


(7)
Computed PXRD pattern
Compound: K4In3Au2
Radiation: Cu Kα X-rays
Structure: a PBE-relaxed structure
Intensities are scaled so that the largest is 100.

Structure:
```
data_K4In3Au2
_symmetry_space_group_name_H-M 'C 1 2/m 1'
_symmetry_Int_Tables_number 12
_symmetry_space_group_name_Hall '-C 2y'
_cell_length_a 18.024
_cell_length_b 4.564
_cell_length_c 8.220
_cell_angle_alpha 90.00
_cell_angle_beta 106.21
_cell_angle_gamma 90.00
loop_
_atom_site_label
_atom_site_fract_x
_atom_site_fract_y
_atom_site_fract_z
_atom_site_occupancy
K1 0.081 0.000 0.378 1
K2 0.229 0.500 0.182 1
In1 0.000 0.500 0.000 1
In2 0.100 0.500 0.740 1
Au1 0.086 0.000 0.932 1
```

Largest 6 diffraction maxima, in order of falling intensity, 5 to 70 degrees two-theta:
d [Å], Rel. int.
7.893, 100.0
8.653, 73.4
5.158, 55.1
2.542, 43.6
2.915, 35.1
2.843, 32.8


(8)
Computed PXRD pattern
Compound: Cs2RbScCl6
Radiation: Cu Kα X-rays
Structure: a PBE-relaxed structure
Intensities are scaled so that the largest is 100.

Structure:
```
data_Cs2RbScCl6
_symmetry_space_group_name_H-M 'P m m n'
_symmetry_Int_Tables_number 59
_cell_length_a 7.669
_cell_length_b 11.287
_cell_length_c 8.486
_cell_angle_alpha 90.00
_cell_angle_beta 90.00
_cell_angle_gamma 90.00
loop_
_symmetry_equiv_pos_as_xyz
'x,y,z'
'-x,-y,-z'
'-x+1/2,-y+1/2,z'
'x+1/2,y+1/2,-z'
'x+1/2,-y,-z'
'-x+1/2,y,z'
'-x,y+1/2,-z'
'x,-y+1/2,z'
loop_
_atom_site_label
_atom_site_fract_x
_atom_site_fract_y
_atom_site_fract_z
_atom_site_occupancy
Cs1 0.250 0.024 0.203 1
Rb1 0.250 0.250 0.709 1
Sc1 0.250 0.750 0.784 1
Cl1 0.014 0.750 0.583 1
Cl2 0.022 0.750 0.000 1
Cl3 0.250 0.528 0.787 1
```

Largest 6 diffraction maxima, in order of falling intensity, 5 to 70 degrees two-theta:
d [Å], Rel. int.
4.007, 100.0
2.845, 57.9
2.822, 35.9
3.172, 33.3
2.003, 31.5
4.243, 26.1


(9)
Computed PXRD pattern
Compound: Tb2Pr6SmHo3
Radiation: Cu Kα X-rays
Structure: a PBE-relaxed structure
Intensities are scaled so that the largest is 100.

Structure:
```
data_Tb2Pr6SmHo3
_symmetry_space_group_name_H-M 'C 1 2/m 1'
_symmetry_Int_Tables_number 12
_symmetry_space_group_name_Hall '-C 2y'
_cell_length_a 6.318
_cell_length_b 10.943
_cell_length_c 11.920
_cell_angle_alpha 90.00
_cell_angle_beta 100.15
_cell_angle_gamma 90.00
loop_
_atom_site_label
_atom_site_fract_x
_atom_site_fract_y
_atom_site_fract_z
_atom_site_occupancy
Tb1 0.000 0.167 0.000 1
Pr1 0.249 0.167 0.748 1
Pr2 0.249 0.500 0.748 1
Sm1 0.000 0.500 0.000 1
Ho1 0.000 0.000 0.500 1
Ho2 0.000 0.333 0.500 1
```

Largest 6 diffraction maxima, in order of falling intensity, 5 to 70 degrees two-theta:
d [Å], Rel. int.
2.973, 100.0
2.566, 67.0
2.933, 32.1
1.549, 28.6
1.824, 24.4
1.805, 23.6


(10)
Computed PXRD pattern
Compound: Pr3OsN5
Radiation: Cu Kα X-rays
Structure: a PBE-relaxed structure
Intensities are scaled so that the largest is 100.

Structure:
```
data_Pr3OsN5
_symmetry_space_group_name_H-M 'I 4/m c m'
_symmetry_Int_Tables_number 140
_symmetry_space_group_name_Hall '-I 4 2c'
_cell_length_a 6.857
_cell_length_b 6.857
_cell_length_c 11.645
_cell_angle_alpha 90.00
_cell_angle_beta 90.00
_cell_angle_gamma 90.00
loop_
_atom_site_label
_atom_site_fract_x
_atom_site_fract_y
_atom_site_fract_z
_atom_site_occupancy
Pr1 0.000 0.000 0.250 1
Pr2 0.175 0.325 0.000 1
Os1 0.000 0.500 0.250 1
N1 0.000 0.000 0.000 1
N2 0.146 0.354 0.354 1
```

Largest 6 diffraction maxima, in order of falling intensity, 5 to 70 degrees two-theta:
d [Å], Rel. int.
2.954, 100.0
2.911, 35.2
2.406, 29.3
2.965, 28.2
2.424, 25.1
1.863, 22.2


(11)
Computed PXRD pattern
Compound: Ho3AlSi
Radiation: Cu Kα X-rays
Structure: a PBE-relaxed structure
Intensities are scaled so that the largest is 100.

Structure:
```
data_Ho3AlSi
_symmetry_space_group_name_H-M 'P -1'
_symmetry_Int_Tables_number 2
_symmetry_space_group_name_Hall '-P 1'
_cell_length_a 4.105
_cell_length_b 7.568
_cell_length_c 8.398
_cell_angle_alpha 88.50
_cell_angle_beta 89.89
_cell_angle_gamma 74.41
loop_
_atom_site_label
_atom_site_fract_x
_atom_site_fract_y
_atom_site_fract_z
_atom_site_occupancy
Ho1 0.049 0.402 0.175 1
Ho2 0.236 0.028 0.823 1
Ho3 0.406 0.685 0.403 1
Al1 0.204 0.093 0.435 1
Si1 0.394 0.711 0.060 1
```

Largest 6 diffraction maxima, in order of falling intensity, 5 to 70 degrees two-theta:
d [Å], Rel. int.
2.954, 100.0
2.887, 72.6
2.921, 66.4
2.716, 57.7
2.276, 45.9
3.565, 40.0


(12)
Computed PXRD pattern
Compound: TaAlPd5
Radiation: Cu Kα X-rays
Structure: a PBE-relaxed structure
Intensities are scaled so that the largest is 100.

Structure:
```
data_TaAlPd5
_symmetry_space_group_name_H-M 'P 4/m m m'
_symmetry_Int_Tables_number 123
_symmetry_space_group_name_Hall '-P 4 2'
_cell_length_a 4.020
_cell_length_b 4.020
_cell_length_c 6.905
_cell_angle_alpha 90.00
_cell_angle_beta 90.00
_cell_angle_gamma 90.00
loop_
_atom_site_label
_atom_site_fract_x
_atom_site_fract_y
_atom_site_fract_z
_atom_site_occupancy
Ta1 0.000 0.000 0.000 1
Al1 0.500 0.500 0.500 1
Pd1 0.000 0.500 0.279 1
Pd2 0.500 0.500 0.000 1
```

Largest 6 diffraction maxima, in order of falling intensity, 5 to 70 degrees two-theta:
d [Å], Rel. int.
2.195, 100.0
2.010, 41.3
2.629, 36.9
6.905, 26.9
1.514, 13.7
1.421, 13.2